Starting from a cell relaxed with PBE, the powder diffractogram of Cs2UTa6Cl15O3 was computed for Cu Kα (weighted mean of Kα1 and Kα2).

```
54
Lattice="9.2416 0.0000 0.0000 -4.6208 8.0035 0.0000 0.0000 0.0000 17.3011" Properties=species:S:1:pos:R:3 pbc="T T T"
Cs 0.0000 5.3356 0.7978
Cs 0.0000 5.3356 7.8527
Cs 4.6208 2.6678 9.4484
Cs 4.6208 2.6678 16.5033
U 0.0000 5.3356 12.9759
U 4.6208 2.6678 4.3253
Ta -0.7590 1.5289 11.8137
Ta -3.6762 6.5817 14.1380
Ta 0.7590 1.5289 14.1380
Ta -2.9173 7.8963 11.8137
Ta 1.7035 0.1072 3.1631
Ta 0.9446 1.4217 5.4875
Ta 3.6762 6.5817 11.8137
Ta 2.9173 7.8963 14.1380
Ta 7.5381 0.1072 5.4875
Ta 3.8618 6.4746 3.1631
Ta 8.2970 1.4217 3.1631
Ta 5.3798 6.4746 5.4875
Cl -0.8774 1.7628 7.1614
Cl -3.5328 6.3622 1.4891
Cl -1.4946 3.7534 10.6583
Cl -2.1175 4.8324 15.2934
Cl 0.8774 1.7628 1.4891
Cl -2.6555 7.8819 7.1614
Cl 0.0000 3.4019 4.3253
Cl -1.6747 6.3025 4.3253
Cl 1.9653 0.1216 15.8120
Cl 1.0880 1.6412 10.1397
Cl 1.4946 3.7534 15.2934
Cl -0.6229 7.4211 10.6583
Cl 2.9461 1.7009 12.9759
Cl 3.9979 0.5824 2.0077
Cl 2.5033 3.1711 6.6428
Cl 2.1175 4.8324 10.6583
Cl 0.6229 7.4211 15.2934
Cl 1.6747 6.3025 4.3253
Cl 5.2437 0.5824 6.6428
Cl 3.1262 4.2500 2.0077
Cl 3.5328 6.3622 7.1614
Cl 2.6555 7.8819 1.4891
Cl 6.2955 1.7009 12.9759
Cl 4.6208 4.6016 12.9759
Cl 7.2763 0.1216 10.1397
Cl 3.7434 6.2406 15.8120
Cl 6.7383 3.1711 2.0077
Cl 6.1154 4.2500 6.6428
Cl 8.1536 1.6412 15.8120
Cl 5.4982 6.2406 10.1397
O 0.0000 3.0104 12.9759
O -2.0137 6.4982 12.9759
O 2.6071 1.5052 4.3253
O 2.0137 6.4982 12.9759
O 6.6345 1.5052 4.3253
O 4.6208 4.9930 4.3253
```

Most intense lines, 5 to 70 degrees two-theta, in order of falling intensity:
two_theta  d [Å]  intensity  hkl
10.23  8.651  100  0 0 2
11.05  8.003  83  1 0 0
36.24  2.479  77  2 1 4
15.08  5.875  60  1 0 2
29.53  3.025  47  2 1 0
43.35  2.087  38  1 0 8
28.26  3.158  36  1 1 4
44.46  2.038  35  2 2 4

---

Starting from a cell relaxed with PBE, the powder diffractogram of Ni4N3 was computed for Cu Kα (weighted mean of Kα1 and Kα2).

```
7
Lattice="3.9611 0.0000 0.0000 0.0000 3.9611 0.0000 0.0000 0.0000 3.9611" Properties=species:S:1:pos:R:3 pbc="T T T"
Ni 0.0000 0.0000 0.0000
Ni 0.0000 1.9806 1.9806
Ni 1.9806 0.0000 1.9806
Ni 1.9806 1.9806 0.0000
N 0.0000 0.0000 1.9806
N 0.0000 1.9806 0.0000
N 1.9806 0.0000 0.0000
```

Most intense lines, 5 to 70 degrees two-theta, in order of falling intensity:
two_theta  d [Å]  intensity  hkl
39.40  2.287  100  1 1 1
45.81  1.981  86  2 0 0
66.80  1.400  49  2 2 0
22.45  3.961  2  1 0 0
31.95  2.801  1  1 1 0